Diffraction record for PdO. The X-ray diffraction stick pattern is computed, not measured: it uses the PBE geometry in the Materials Project and copper Kα.
Peak positions follow from Bragg's law for the DFT cell and can differ from measured ones.

```
PdO
1.0
0.000 2.273 2.273
2.273 0.000 2.273
2.273 2.273 0.000
Pd O
1 1
Cartesian
0.000 0.000 0.000
2.273 2.273 2.273
```

Top 6 peaks for 2θ = 10–90°, by intensity:
2θ = 34.16°, intensity 100
2θ = 39.64°, intensity 91
2θ = 57.31°, intensity 59
2θ = 68.44°, intensity 42
2θ = 71.94°, intensity 19
2θ = 85.41°, intensity 9

=====

Diffraction record for Pd2O. The X-ray diffraction stick pattern is computed, not measured: it uses the PBE geometry in the Materials Project and copper Kα.
Peak positions follow from Bragg's law for the DFT cell and can differ from measured ones.

```
Pd2O
1.0
4.542 0.000 0.000
0.000 4.542 0.000
0.000 0.000 4.542
Pd O
4 2
Cartesian
0.000 0.000 0.000
0.000 2.271 2.271
2.271 0.000 2.271
2.271 2.271 0.000
1.136 1.136 1.136
3.407 3.407 3.407
```

Top 6 peaks for 2θ = 10–90°, by intensity:
2θ = 34.19°, intensity 100
2θ = 39.69°, intensity 42
2θ = 68.51°, intensity 38
2θ = 57.38°, intensity 37
2θ = 72.02°, intensity 10
2θ = 85.51°, intensity 6

=====

Diffraction record for PdO2. The X-ray diffraction stick pattern is computed, not measured: it uses the PBE geometry in the Materials Project and copper Kα.
Peak positions follow from Bragg's law for the DFT cell and can differ from measured ones.

```
PdO2
1.0
4.597 0.000 0.000
0.000 4.597 0.000
0.000 0.000 3.206
Pd O
2 4
Cartesian
0.000 0.000 0.000
2.299 2.299 1.603
0.881 0.881 1.603
1.418 3.180 0.000
3.180 1.418 0.000
3.716 3.716 1.603
```

Top 6 peaks for 2θ = 10–90°, by intensity:
2θ = 27.44°, intensity 100
2θ = 34.09°, intensity 82
2θ = 52.90°, intensity 66
2θ = 39.19°, intensity 21
2θ = 67.77°, intensity 20
2θ = 64.85°, intensity 16

=====

Diffraction record for PdO2. The X-ray diffraction stick pattern is computed, not measured: it uses the PBE geometry in the Materials Project and copper Kα.
Peak positions follow from Bragg's law for the DFT cell and can differ from measured ones.

```
PdO2
1.0
0.000 2.513 2.513
2.513 0.000 2.513
2.513 2.513 0.000
Pd O
1 2
Cartesian
0.000 0.000 0.000
1.256 1.256 1.256
3.769 3.769 3.769
```

Top 6 peaks for 2θ = 10–90°, by intensity:
2θ = 30.82°, intensity 100
2θ = 51.43°, intensity 56
2θ = 61.16°, intensity 41
2θ = 35.73°, intensity 24
2θ = 83.92°, intensity 17
2θ = 86.63°, intensity 10

=====

Diffraction record for Pr2PdO4. The X-ray diffraction stick pattern is computed, not measured: it uses the PBE geometry in the Materials Project and copper Kα.
Peak positions follow from Bragg's law for the DFT cell and can differ from measured ones.

```
Pr2PdO4
1.0
-3.544 3.544 4.950
3.544 -3.544 4.950
3.544 3.544 -4.950
Pr Pd O
4 2 8
Cartesian
0.000 0.000 0.000
1.772 1.772 -2.475
1.772 -1.772 2.475
0.000 3.544 0.000
3.544 1.772 1.237
0.000 1.772 3.712
3.544 3.406 -2.538
3.544 -0.137 2.538
1.635 1.772 -0.063
1.909 -1.772 4.886
1.635 5.315 0.063
1.909 1.772 5.013
0.000 3.681 2.411
0.000 0.137 7.488
```

Top 6 peaks for 2θ = 10–90°, by intensity:
2θ = 29.59°, intensity 100
2θ = 29.87°, intensity 50
2θ = 51.93°, intensity 44
2θ = 31.04°, intensity 44
2θ = 47.14°, intensity 31
2θ = 15.38°, intensity 25

=====

Diffraction record for PrPd2O4. The X-ray diffraction stick pattern is computed, not measured: it uses the PBE geometry in the Materials Project and copper Kα.
Peak positions follow from Bragg's law for the DFT cell and can differ from measured ones.

```
PrPd2O4
1.0
-2.984 2.984 5.158
2.984 -2.984 5.158
2.984 2.984 -5.158
Pr Pd O
2 4 8
Cartesian
0.000 1.492 1.290
2.984 1.492 3.869
1.492 1.492 -2.579
1.492 -1.492 2.579
2.984 0.000 0.000
0.000 0.000 5.158
1.201 0.590 -0.768
2.082 0.291 1.811
1.783 -0.590 4.390
2.082 3.274 -1.811
0.902 -0.291 6.969
1.201 3.574 0.768
0.902 2.693 3.347
1.783 2.394 5.927
```

Top 6 peaks for 2θ = 10–90°, by intensity:
2θ = 34.72°, intensity 100
2θ = 29.99°, intensity 44
2θ = 56.32°, intensity 39
2θ = 27.31°, intensity 24
2θ = 46.57°, intensity 22
2θ = 62.27°, intensity 15

=====

Diffraction record for RbPdO3. The X-ray diffraction stick pattern is computed, not measured: it uses the PBE geometry in the Materials Project and copper Kα.
Peak positions follow from Bragg's law for the DFT cell and can differ from measured ones.

```
RbPdO3
1.0
4.128 0.000 0.000
0.000 4.128 0.000
0.000 0.000 4.128
Rb Pd O
1 1 3
Cartesian
0.000 0.000 0.000
2.064 2.064 2.064
0.000 2.064 2.064
2.064 0.000 2.064
2.064 2.064 0.000
```

Top 6 peaks for 2θ = 10–90°, by intensity:
2θ = 30.63°, intensity 100
2θ = 54.44°, intensity 40
2θ = 43.86°, intensity 34
2θ = 88.65°, intensity 21
2θ = 63.77°, intensity 20
2θ = 72.39°, intensity 17

=====

Diffraction record for Rb2PdS8O26. The X-ray diffraction stick pattern is computed, not measured: it uses the PBE geometry in the Materials Project and copper Kα.
Peak positions follow from Bragg's law for the DFT cell and can differ from measured ones.

```
Rb2PdS8O26
1.0
7.722 0.000 0.000
2.637 8.457 0.000
0.177 3.013 9.043
Rb Pd S O
2 1 8 26
Cartesian
1.695 3.105 3.476
8.842 8.365 5.567
3.861 0.000 0.000
2.786 5.896 0.154
3.597 7.023 2.742
4.957 9.659 7.160
4.048 5.133 6.562
6.489 6.337 2.480
5.580 1.811 1.883
6.940 4.447 6.301
7.752 5.574 8.889
0.840 1.948 0.674
2.451 6.434 3.362
2.530 4.742 0.947
3.305 7.133 1.120
3.955 9.737 6.132
4.021 8.347 3.061
3.534 6.446 6.318
4.289 8.599 8.387
5.067 10.958 7.897
3.721 4.051 5.678
4.756 5.971 2.829
4.096 4.810 8.016
4.344 2.483 2.142
6.193 8.987 6.901
6.441 6.660 1.026
5.781 5.499 6.214
6.816 7.419 3.365
5.470 0.512 1.146
6.248 2.871 0.655
7.003 5.024 2.725
6.516 3.123 5.981
6.582 1.733 2.911
7.232 4.337 7.922
8.007 6.728 8.096
8.086 5.036 5.681
9.697 9.522 8.369
```

Top 6 peaks for 2θ = 10–90°, by intensity:
2θ = 18.94°, intensity 100
2θ = 25.42°, intensity 73
2θ = 24.98°, intensity 62
2θ = 25.99°, intensity 61
2θ = 27.02°, intensity 39
2θ = 29.64°, intensity 34